Computed powder diffraction line list
Compound: Tm2Co5GeB2
Radiation: Cu Kα (λ = 1.5418 Å)
Structure: a crystal structure in Alexandria, relaxed with PBE
Neutral-atom scattering factors, no anomalous dispersion.

Crystal structure
```
data_Tm2Co5GeB2
_chemical_formula_sum 'Tm4 Co10 Ge2 B4'
_cell_length_a 8.8577
_cell_length_b 8.8577
_cell_length_c 3.0706
_cell_angle_alpha 90.00
_cell_angle_beta 90.00
_cell_angle_gamma 90.00
_space_group_name_H-M_alt 'P 4/m b m'
_space_group_IT_number 127
_space_group_name_Hall '-P 4 2ab'
loop_
_atom_site_label
_atom_site_type_symbol
_atom_site_fract_x
_atom_site_fract_y
_atom_site_fract_z
Tm1 Tm 0.1774 0.3226 0.0000
Co1 Co 0.0000 0.5000 0.5000
Co2 Co 0.0682 0.7762 0.5000
Ge1 Ge 0.0000 0.0000 0.0000
B1 B 0.1172 0.6172 0.0000
```

Principal peaks in the range 2θ from 10° to 80°, low angle first:
index  2θ (°)  d_spacing  I (rel.)
2 1 0  22.4  3.961  423
2 1 1  37.0  2.427  1000
2 2 1  41.2  2.193  345
4 1 0  42.1  2.148  754
3 3 0  43.3  2.088  210
3 1 1  43.7  2.069  763
4 2 0  45.8  1.981  211
4 1 2  76.2  1.249  251


Computed powder diffraction line list
Compound: Tb3AlP2Rh9
Radiation: Cu Kα (λ = 1.5418 Å)
Structure: a crystal structure in Alexandria, relaxed with PBE
Neutral-atom scattering factors, no anomalous dispersion.

Crystal structure
```
data_Tb3AlP2Rh9
_chemical_formula_sum 'Tb3 Al1 P2 Rh9'
_cell_length_a 6.2395
_cell_length_b 6.2395
_cell_length_c 7.9416
_cell_angle_alpha 90.00
_cell_angle_beta 90.00
_cell_angle_gamma 120.00
_space_group_name_H-M_alt 'P -3 m 1'
_space_group_IT_number 164
_space_group_name_Hall '-P 3 2"'
loop_
_atom_site_label
_atom_site_type_symbol
_atom_site_fract_x
_atom_site_fract_y
_atom_site_fract_z
Tb1 Tb 0.0000 0.0000 0.0000
Tb2 Tb 0.3333 0.6667 0.6545
Al1 Al 0.0000 0.0000 0.5000
P1 P 0.3333 0.6667 0.1631
Rh1 Rh 0.0000 0.5000 0.0000
Rh2 Rh 0.1680 0.3359 0.3203
```

Principal peaks in the range 2θ from 10° to 80°, low angle first:
index  2θ (°)  d_spacing  I (rel.)
0 0 3  33.9  2.647  354
0 2 1  35.1  2.558  1000
2 0 2  40.4  2.234  855
0 2 4  57.6  1.600  283
2 2 0  59.2  1.560  277
2 0 5  68.5  1.369  127
2 2 3  70.0  1.344  251
0 4 2  74.1  1.279  139


Computed powder diffraction line list
Compound: Ca2PrGa
Radiation: Cu Kα (λ = 1.5418 Å)
Structure: a crystal structure in Alexandria, relaxed with PBE
Neutral-atom scattering factors, no anomalous dispersion.

Crystal structure
```
data_Ca2PrGa
_chemical_formula_sum 'Ca2 Pr1 Ga1'
_cell_length_a 3.5743
_cell_length_b 3.5743
_cell_length_c 9.8642
_cell_angle_alpha 90.00
_cell_angle_beta 90.00
_cell_angle_gamma 90.00
_space_group_name_H-M_alt 'P 4/m m m'
_space_group_IT_number 123
_space_group_name_Hall '-P 4 2'
loop_
_atom_site_label
_atom_site_type_symbol
_atom_site_fract_x
_atom_site_fract_y
_atom_site_fract_z
Ca1 Ca 0.0000 0.0000 0.1966
Pr1 Pr 0.5000 0.5000 0.5000
Ga1 Ga 0.5000 0.5000 0.0000
```

Principal peaks in the range 2θ from 10° to 80°, low angle first:
index  2θ (°)  d_spacing  I (rel.)
0 0 2  18.0  4.932  251
1 0 0  24.9  3.574  179
1 0 1  26.5  3.360  173
1 0 2  30.9  2.894  1000
1 1 0  35.5  2.527  388
1 0 4  44.6  2.030  176
1 1 4  51.8  1.765  159
2 1 2  60.9  1.521  272


Computed powder diffraction line list
Compound: PmSm2HoTe5
Radiation: Cu Kα (λ = 1.5418 Å)
Structure: a crystal structure in Alexandria, relaxed with PBE
Neutral-atom scattering factors, no anomalous dispersion.

Crystal structure
```
data_PmSm2HoTe5
_chemical_formula_sum 'Pm1 Sm2 Ho1 Te5'
_cell_length_a 5.5158
_cell_length_b 5.5158
_cell_length_c 11.7455
_cell_angle_alpha 90.00
_cell_angle_beta 90.00
_cell_angle_gamma 90.00
_space_group_name_H-M_alt 'P 4/m m m'
_space_group_IT_number 123
_space_group_name_Hall '-P 4 2'
loop_
_atom_site_label
_atom_site_type_symbol
_atom_site_fract_x
_atom_site_fract_y
_atom_site_fract_z
Pm1 Pm 0.0000 0.0000 0.0000
Sm1 Sm 0.5000 0.5000 0.3459
Ho1 Ho 0.0000 0.0000 0.5000
Te1 Te 0.0000 0.0000 0.2495
Te2 Te 0.0000 0.5000 0.5000
Te3 Te 0.5000 0.5000 0.0000
```

Principal peaks in the range 2θ from 10° to 80°, low angle first:
index  2θ (°)  d_spacing  I (rel.)
0 0 2  15.1  5.873  146
1 1 0  22.8  3.901  573
1 0 3  27.9  3.193  236
2 0 0  32.4  2.760  1000
1 0 4  34.6  2.592  310
2 0 4  45.1  2.011  205
2 2 0  46.6  1.950  235
2 1 4  48.2  1.889  244


- Which formula does entry 1 have?
  Tm2Co5GeB2